# 1
Diffraction record for Sr3B6H2O13. The powder diffraction line list is theoretical, not measured: it uses a cell relaxed with PBE and Cu Kα (weighted mean of Kα1 and Kα2).
Peak positions follow from Bragg's law for the DFT cell and can differ from measured ones.

Atomic structure:
```
data_Sr3B6H2O13
_space_group_name_H-M_alt 'P -1'
_space_group_IT_number 2
_space_group_name_Hall '-P 1'
_cell_length_a 6.6947
_cell_length_b 6.7373
_cell_length_c 11.5039
_cell_angle_alpha 90.79
_cell_angle_beta 94.25
_cell_angle_gamma 93.10
loop_
_atom_site_label
_atom_site_fract_x
_atom_site_fract_y
_atom_site_fract_z
Sr1 0.0681 0.3746 0.2651
Sr2 0.3202 0.2377 0.9715
Sr3 0.3733 0.7270 0.4777
B1 0.0502 0.8534 0.2759
B2 0.1166 0.7795 0.0657
B3 0.1788 0.2375 0.5605
B4 0.2684 0.9677 0.7027
B5 0.3784 0.9793 0.2014
B6 0.4607 0.6622 0.7731
H1 0.2525 0.6581 0.9058
H2 0.4882 0.3588 0.7471
O1 0.0113 0.7279 0.1641
O2 0.0141 0.2760 0.6258
O3 0.0379 0.7230 0.9586
O4 0.0632 0.9719 0.7332
O5 0.2435 0.3633 0.4792
O6 0.2651 0.8990 0.2952
O7 0.2856 0.0643 0.5840
O8 0.2986 0.8933 0.0830
O9 0.3129 0.7537 0.6921
O10 0.3661 0.1989 0.1940
O11 0.3731 0.5872 0.8826
O12 0.4115 0.0761 0.7869
O13 0.4577 0.5153 0.2834
```

Top 8 peaks for 2θ from 10° to 90°, in order of falling intensity:
| h k l | two_theta | I/Imax |
| --- | --- | --- |
| -2 1 1 | 29.81 | 100 |
| 2 1 1 | 32.11 | 96 |
| 0 2 -2 | 30.58 | 91 |
| 0 2 2 | 31.05 | 89 |
| 2 1 -5 | 48.57 | 86 |
| 0 0 4 | 31.19 | 83 |
| 1 0 -2 | 19.65 | 79 |
| 1 0 2 | 21.20 | 78 |

# 2
Diffraction record for TbBi2Rh2. The powder diffraction line list is theoretical, not measured: it uses a cell relaxed with PBE and Cu Kα (weighted mean of Kα1 and Kα2).
Peak positions follow from Bragg's law for the DFT cell and can differ from measured ones.

Atomic structure:
```
data_TbBi2Rh2
_space_group_name_H-M_alt 'P 1 21/m 1'
_space_group_IT_number 11
_space_group_name_Hall '-P 2yb'
_cell_length_a 4.7072
_cell_length_b 4.8038
_cell_length_c 10.1801
_cell_angle_alpha 90.00
_cell_angle_beta 90.11
_cell_angle_gamma 90.00
loop_
_atom_site_label
_atom_site_fract_x
_atom_site_fract_y
_atom_site_fract_z
Tb1 0.2467 0.2500 0.1739
Bi1 0.2483 0.2500 0.8354
Bi2 0.2517 0.2500 0.5024
Rh1 0.2483 0.7500 0.3276
Rh2 0.2614 0.7500 0.9933
```

Top 8 peaks for 2θ from 10° to 90°, in order of falling intensity:
| h k l | two_theta | I/Imax |
| --- | --- | --- |
| 1 1 3 | 37.66 | 100 |
| 1 1 0 | 26.51 | 26 |
| 0 2 0 | 37.44 | 26 |
| 2 0 0 | 38.24 | 24 |
| 1 3 -3 | 67.64 | 18 |
| 2 2 0 | 54.59 | 17 |
| 0 0 3 | 26.26 | 13 |
| 1 3 3 | 67.71 | 9 |

# 3
Diffraction record for LaPmNdDy3. The powder diffraction line list is theoretical, not measured: it uses a cell relaxed with PBE and Cu Kα (weighted mean of Kα1 and Kα2).
Peak positions follow from Bragg's law for the DFT cell and can differ from measured ones.

Atomic structure:
```
data_LaPmNdDy3
_space_group_name_H-M_alt 'P -1'
_space_group_IT_number 2
_space_group_name_Hall '-P 1'
_cell_length_a 5.7440
_cell_length_b 7.0354
_cell_length_c 9.9503
_cell_angle_alpha 90.01
_cell_angle_beta 90.03
_cell_angle_gamma 90.01
loop_
_atom_site_label
_atom_site_fract_x
_atom_site_fract_y
_atom_site_fract_z
La1 0.2498 0.0026 0.2551
Pm1 0.2495 0.4971 0.2561
Nd1 0.2526 0.2552 0.9167
Dy1 0.2477 0.2525 0.5832
Dy2 0.2476 0.7484 0.9162
Dy3 0.2526 0.7475 0.5833
```

Top 8 peaks for 2θ from 10° to 90°, in order of falling intensity:
| h k l | two_theta | I/Imax |
| --- | --- | --- |
| 2 0 0 | 31.14 | 100 |
| 3 0 3 | 55.41 | 29 |
| 2 4 0 | 61.86 | 17 |
| -2 2 2 | 44.62 | 17 |
| -4 2 2 | 73.77 | 8 |
| 1 2 -3 | 40.55 | 7 |
| 3 4 3 | 79.43 | 7 |
| 4 0 0 | 64.93 | 7 |

# 4
Diffraction record for Sr2Cd6InPt. The powder diffraction line list is theoretical, not measured: it uses a cell relaxed with PBE and Cu Kα (weighted mean of Kα1 and Kα2).
Peak positions follow from Bragg's law for the DFT cell and can differ from measured ones.

Atomic structure:
```
data_Sr2Cd6InPt
_space_group_name_H-M_alt 'P m m n'
_space_group_IT_number 59
_cell_length_a 7.9843
_cell_length_b 9.8843
_cell_length_c 7.1929
_cell_angle_alpha 90.00
_cell_angle_beta 90.00
_cell_angle_gamma 90.00
loop_
_space_group_symop_operation_xyz
'x,y,z'
'-x,-y,-z'
'-x+1/2,-y+1/2,z'
'x+1/2,y+1/2,-z'
'x+1/2,-y,-z'
'-x+1/2,y,z'
'-x,y+1/2,-z'
'x,-y+1/2,z'
loop_
_atom_site_label
_atom_site_fract_x
_atom_site_fract_y
_atom_site_fract_z
Sr1 0.2500 0.0348 0.2312
Cd1 0.0567 0.2500 0.8733
Cd2 0.0755 0.7500 0.5312
Cd3 0.2500 0.5007 0.7152
In1 0.2500 0.7500 0.9303
Pt1 0.2500 0.2500 0.5474
```

Top 8 peaks for 2θ from 10° to 90°, in order of falling intensity:
| h k l | two_theta | I/Imax |
| --- | --- | --- |
| 0 2 2 | 30.75 | 100 |
| 3 1 1 | 37.15 | 78 |
| 0 4 0 | 36.36 | 61 |
| 3 3 1 | 45.60 | 46 |
| 2 1 2 | 34.78 | 41 |
| 0 2 0 | 17.95 | 41 |
| 2 2 2 | 38.29 | 39 |
| 1 0 1 | 16.59 | 37 |

# 5
Diffraction record for Ce2Zn2Sn. The powder diffraction line list is theoretical, not measured: it uses a cell relaxed with PBE and Cu Kα (weighted mean of Kα1 and Kα2).
Peak positions follow from Bragg's law for the DFT cell and can differ from measured ones.

Atomic structure:
```
data_Ce2Zn2Sn
_space_group_name_H-M_alt 'C 1 2/m 1'
_space_group_IT_number 12
_space_group_name_Hall '-C 2y'
_cell_length_a 10.8698
_cell_length_b 4.7053
_cell_length_c 9.7796
_cell_angle_alpha 90.00
_cell_angle_beta 109.77
_cell_angle_gamma 90.00
loop_
_atom_site_label
_atom_site_fract_x
_atom_site_fract_y
_atom_site_fract_z
Ce1 0.0719 0.0000 0.3587
Ce2 0.1835 0.0000 0.0486
Zn1 0.0056 0.5000 0.8689
Zn2 0.1073 0.5000 0.6119
Sn1 0.2451 0.0000 0.7041
```

Top 8 peaks for 2θ from 10° to 90°, in order of falling intensity:
| h k l | two_theta | I/Imax |
| --- | --- | --- |
| 1 1 -3 | 33.46 | 100 |
| 3 1 1 | 36.45 | 98 |
| 3 1 -2 | 32.95 | 86 |
| 0 2 0 | 38.26 | 57 |
| 0 0 3 | 29.11 | 32 |
| 7 1 -4 | 66.14 | 28 |
| 4 0 -2 | 33.86 | 28 |
| 4 0 -5 | 50.35 | 22 |

# 6
Diffraction record for Li2HgBi2Pd4. The powder diffraction line list is theoretical, not measured: it uses a cell relaxed with PBE and Cu Kα (weighted mean of Kα1 and Kα2).
Peak positions follow from Bragg's law for the DFT cell and can differ from measured ones.

Atomic structure:
```
data_Li2HgBi2Pd4
_space_group_name_H-M_alt 'I 4/m m m'
_space_group_IT_number 139
_space_group_name_Hall '-I 4 2'
_cell_length_a 6.6257
_cell_length_b 6.6257
_cell_length_c 7.8417
_cell_angle_alpha 90.00
_cell_angle_beta 90.00
_cell_angle_gamma 90.00
loop_
_atom_site_label
_atom_site_fract_x
_atom_site_fract_y
_atom_site_fract_z
Li1 0.0000 0.0000 0.1886
Hg1 0.0000 0.0000 0.5000
Bi1 0.0000 0.5000 0.2500
Pd1 0.2165 0.2165 0.0000
```

Top 8 peaks for 2θ from 10° to 90°, in order of falling intensity:
| h k l | two_theta | I/Imax |
| --- | --- | --- |
| 1 1 2 | 29.71 | 100 |
| 2 2 0 | 38.43 | 63 |
| 2 0 2 | 35.47 | 61 |
| 3 1 2 | 49.31 | 40 |
| 0 0 4 | 46.31 | 34 |
| 2 1 1 | 32.30 | 32 |
| 2 2 4 | 61.70 | 31 |
| 3 0 1 | 42.52 | 20 |

# 7
Diffraction record for Be5Ni. The powder diffraction line list is theoretical, not measured: it uses a cell relaxed with PBE and Cu Kα (weighted mean of Kα1 and Kα2).
Peak positions follow from Bragg's law for the DFT cell and can differ from measured ones.

Atomic structure:
```
data_Be5Ni
_space_group_name_H-M_alt 'C 1 2/m 1'
_space_group_IT_number 12
_space_group_name_Hall '-C 2y'
_cell_length_a 7.7610
_cell_length_b 2.7495
_cell_length_c 4.9229
_cell_angle_alpha 90.00
_cell_angle_beta 108.71
_cell_angle_gamma 90.00
loop_
_atom_site_label
_atom_site_fract_x
_atom_site_fract_y
_atom_site_fract_z
Be1 0.0000 0.0000 0.0000
Be2 0.1671 0.5000 0.8343
Be3 0.1678 0.5000 0.3324
Ni1 0.0000 0.0000 0.5000
```

Top 8 peaks for 2θ from 10° to 90°, in order of falling intensity:
| h k l | two_theta | I/Imax |
| --- | --- | --- |
| 0 0 1 | 19.03 | 100 |
| 2 0 0 | 24.21 | 57 |
| 2 0 -1 | 25.60 | 50 |
| 1 1 0 | 34.84 | 45 |
| 1 1 -2 | 49.72 | 40 |
| 3 1 0 | 49.85 | 39 |
| 1 1 -1 | 37.97 | 36 |
| 2 0 -2 | 38.57 | 34 |

# 8
Diffraction record for PrTiNO2. The powder diffraction line list is theoretical, not measured: it uses a cell relaxed with PBE and Cu Kα (weighted mean of Kα1 and Kα2).
Peak positions follow from Bragg's law for the DFT cell and can differ from measured ones.

Atomic structure:
```
data_PrTiNO2
_space_group_name_H-M_alt 'P 4 m m'
_space_group_IT_number 99
_space_group_name_Hall 'P 4 -2'
_cell_length_a 3.7580
_cell_length_b 3.7580
_cell_length_c 4.7761
_cell_angle_alpha 90.00
_cell_angle_beta 90.00
_cell_angle_gamma 90.00
loop_
_atom_site_label
_atom_site_fract_x
_atom_site_fract_y
_atom_site_fract_z
Pr1 0.0000 0.0000 0.0000
Ti1 0.5000 0.5000 0.4596
N1 0.5000 0.5000 0.8378
O1 0.0000 0.5000 0.3352
```

Top 8 peaks for 2θ from 10° to 90°, in order of falling intensity:
| h k l | two_theta | I/Imax |
| --- | --- | --- |
| 1 0 1 | 30.26 | 100 |
| 1 1 0 | 33.73 | 33 |
| 2 1 1 | 58.19 | 31 |
| 1 1 2 | 51.45 | 25 |
| 1 1 1 | 38.78 | 24 |
| 2 0 0 | 48.44 | 22 |
| 0 0 1 | 18.58 | 20 |
| 1 0 0 | 23.68 | 17 |

# 9
Diffraction record for SbPW2. The powder diffraction line list is theoretical, not measured: it uses a cell relaxed with PBE and Cu Kα (weighted mean of Kα1 and Kα2).
Peak positions follow from Bragg's law for the DFT cell and can differ from measured ones.

Atomic structure:
```
data_SbPW2
_space_group_name_H-M_alt 'C m m 2'
_space_group_IT_number 35
_space_group_name_Hall 'C 2 -2'
_cell_length_a 3.3374
_cell_length_b 4.7519
_cell_length_c 9.5024
_cell_angle_alpha 90.00
_cell_angle_beta 90.00
_cell_angle_gamma 90.00
loop_
_atom_site_label
_atom_site_fract_x
_atom_site_fract_y
_atom_site_fract_z
Sb1 0.0000 0.0000 0.0000
P1 0.0000 0.5000 0.6643
W1 0.0000 0.0000 0.4747
W2 0.0000 0.5000 0.2472
```

Top 8 peaks for 2θ from 10° to 90°, in order of falling intensity:
| h k l | two_theta | I/Imax |
| --- | --- | --- |
| 1 1 2 | 38.00 | 100 |
| 0 2 0 | 37.87 | 48 |
| 1 3 2 | 68.48 | 30 |
| 1 1 3 | 43.77 | 20 |
| 2 2 0 | 68.74 | 17 |
| 0 2 4 | 54.63 | 15 |
| 1 1 1 | 34.16 | 10 |
| 2 2 4 | 81.26 | 9 |

# 10
Diffraction record for Pr5Ga2Au2. The powder diffraction line list is theoretical, not measured: it uses a cell relaxed with PBE and Cu Kα (weighted mean of Kα1 and Kα2).
Peak positions follow from Bragg's law for the DFT cell and can differ from measured ones.

Atomic structure:
```
data_Pr5Ga2Au2
_space_group_name_H-M_alt 'C m c e'
_space_group_IT_number 64
_space_group_name_Hall '-C 2ac 2'
_cell_length_a 16.4406
_cell_length_b 7.9151
_cell_length_c 7.8483
_cell_angle_alpha 90.00
_cell_angle_beta 90.00
_cell_angle_gamma 90.00
loop_
_atom_site_label
_atom_site_fract_x
_atom_site_fract_y
_atom_site_fract_z
Pr1 0.0000 0.0000 0.0000
Pr2 0.1399 0.1791 0.3283
Ga1 0.0000 0.1175 0.6158
Au1 0.2080 0.0000 0.0000
```

Top 8 peaks for 2θ from 10° to 90°, in order of falling intensity:
| h k l | two_theta | I/Imax |
| --- | --- | --- |
| 4 0 2 | 31.56 | 100 |
| 0 2 2 | 32.12 | 59 |
| 3 1 2 | 30.20 | 57 |
| 4 2 0 | 31.38 | 54 |
| 4 2 1 | 33.44 | 41 |
| 1 3 1 | 36.34 | 36 |
| 1 1 3 | 36.59 | 33 |
| 5 1 3 | 45.79 | 23 |